(1)
Sm3YP: theoretical powder diffraction line list (copper Kα), based on DFT lattice parameters and positions (PBE).
Intensities are scaled so that the largest is 100.

The 8 most intense peaks (2θ from 15° to 90°), in order of falling intensity:
2θ/deg	intensity
28.06	100
32.51	64
46.64	47
55.31	45
77.49	21
75.18	18
58.00	16
86.57	16

Atomic structure:
```
data_Sm3YP
_space_group_name_H-M_alt 'P m -3 m'
_space_group_IT_number 221
_space_group_name_Hall '-P 4 2 3'
_cell_length_a 5.5085
_cell_length_b 5.5085
_cell_length_c 5.5085
_cell_angle_alpha 90.00
_cell_angle_beta 90.00
_cell_angle_gamma 90.00
loop_
_atom_site_label
_atom_site_type_symbol
_atom_site_fract_x
_atom_site_fract_y
_atom_site_fract_z
_atom_site_occupancy
Sm1 Sm 0.0000 0.0000 0.5000 1
Y1 Y 0.5000 0.5000 0.5000 1
P1 P 0.0000 0.0000 0.0000 1
```


(2)
Mg3InAu3: theoretical powder diffraction line list (copper Kα), based on DFT lattice parameters and positions (PBE).
Intensities are scaled so that the largest is 100.

The 8 most intense peaks (2θ from 15° to 90°), in order of falling intensity:
2θ/deg	intensity
38.68	100
27.07	51
38.39	27
38.83	23
70.21	22
19.14	19
30.38	18
69.62	18

Atomic structure:
```
data_Mg3InAu3
_space_group_name_H-M_alt 'C m m m'
_space_group_IT_number 65
_space_group_name_Hall '-C 2 2'
_cell_length_a 9.2758
_cell_length_b 9.3787
_cell_length_c 6.5720
_cell_angle_alpha 90.00
_cell_angle_beta 90.00
_cell_angle_gamma 90.00
loop_
_atom_site_label
_atom_site_type_symbol
_atom_site_fract_x
_atom_site_fract_y
_atom_site_fract_z
_atom_site_occupancy
Mg1 Mg 0.0000 0.2446 0.0000 1
Mg2 Mg 0.0000 0.2501 0.5000 1
Mg3 Mg 0.2463 0.0000 0.0000 1
In1 In 0.2163 0.5000 0.5000 1
Au1 Au 0.0000 0.0000 0.2625 1
Au2 Au 0.2500 0.2500 0.2384 1
```


(3)
MnAlGaCo: theoretical powder diffraction line list (copper Kα), based on DFT lattice parameters and positions (PBE).
Intensities are scaled so that the largest is 100.

The 8 most intense peaks (2θ from 15° to 90°), in order of falling intensity:
2θ/deg	intensity
43.99	100
80.89	30
63.97	15
26.52	12
52.10	6
70.51	2
86.96	2
30.72	1

Atomic structure:
```
data_MnAlGaCo
_space_group_name_H-M_alt 'F -4 3 m'
_space_group_IT_number 216
_space_group_name_Hall 'F -4 2 3'
_cell_length_a 5.8217
_cell_length_b 5.8217
_cell_length_c 5.8217
_cell_angle_alpha 90.00
_cell_angle_beta 90.00
_cell_angle_gamma 90.00
loop_
_atom_site_label
_atom_site_type_symbol
_atom_site_fract_x
_atom_site_fract_y
_atom_site_fract_z
_atom_site_occupancy
Mn1 Mn 0.0000 0.0000 0.0000 1
Al1 Al 0.2500 0.2500 0.2500 1
Ga1 Ga 0.2500 0.2500 0.7500 1
Co1 Co 0.0000 0.0000 0.5000 1
```


(4)
La2HgRu: theoretical powder diffraction line list (copper Kα), based on DFT lattice parameters and positions (PBE).
Intensities are scaled so that the largest is 100.

The 8 most intense peaks (2θ from 15° to 90°), in order of falling intensity:
2θ/deg	intensity
34.82	100
33.18	98
33.95	93
60.90	34
62.35	32
59.21	23
48.94	19
49.67	18

Atomic structure:
```
data_La2HgRu
_space_group_name_H-M_alt 'P m m a'
_space_group_IT_number 51
_cell_length_a 7.4443
_cell_length_b 3.5705
_cell_length_c 7.8449
_cell_angle_alpha 90.00
_cell_angle_beta 90.00
_cell_angle_gamma 90.00
loop_
_space_group_symop_operation_xyz
'x,y,z'
'-x,-y,-z'
'-x+1/2,-y,z'
'x+1/2,y,-z'
'x+1/2,-y,-z'
'-x+1/2,y,z'
'-x,y,-z'
'x,-y,z'
loop_
_atom_site_label
_atom_site_type_symbol
_atom_site_fract_x
_atom_site_fract_y
_atom_site_fract_z
_atom_site_occupancy
La1 La 0.0077 0.0000 0.2178 1
Hg1 Hg 0.2500 0.5000 0.5147 1
Ru1 Ru 0.2500 0.5000 0.9549 1
```